1.
# Re2Cl7O3
Calculated XRD peak list, Cu Ka. Input: a cell relaxed with PBE.
Lines closer than 0.1° are merged.

Structure:
```
Re2Cl7O3
1.0
6.760 0.000 0.000
0.000 11.500 0.000
-5.581 0.000 17.498
Re Cl O
8 28 12
direct
0.014 0.091 0.189
0.014 0.409 0.689
0.151 0.155 0.535
0.151 0.345 0.035
0.849 0.655 0.965
0.849 0.845 0.465
0.986 0.591 0.311
0.986 0.909 0.811
0.107 0.719 0.069
0.107 0.781 0.569
0.156 0.518 0.949
0.156 0.982 0.449
0.198 0.539 0.429
0.198 0.961 0.929
0.226 0.730 0.308
0.226 0.770 0.808
0.258 0.207 0.272
0.258 0.293 0.772
0.284 0.010 0.155
0.284 0.490 0.655
0.348 0.036 0.628
0.348 0.464 0.128
0.652 0.536 0.872
0.652 0.964 0.372
0.716 0.510 0.345
0.716 0.990 0.845
0.742 0.707 0.228
0.742 0.793 0.728
0.774 0.230 0.192
0.774 0.270 0.692
0.802 0.039 0.071
0.802 0.461 0.571
0.844 0.018 0.551
0.844 0.482 0.051
0.893 0.219 0.431
0.893 0.281 0.931
0.033 0.012 0.753
0.033 0.488 0.253
0.090 0.250 0.098
0.090 0.250 0.598
0.351 0.219 0.512
0.351 0.281 0.012
0.649 0.719 0.988
0.649 0.781 0.488
0.910 0.750 0.402
0.910 0.750 0.902
0.967 0.512 0.747
0.967 0.988 0.247
```

Main lines, by intensity (10 to 80 degrees two-theta):
- 2θ 13.7, intensity 100
- 2θ 18.8, intensity 69
- 2θ 17.0, intensity 63
- 2θ 20.3, intensity 61
- 2θ 12.7, intensity 50
- 2θ 16.2, intensity 24
- 2θ 20.9, intensity 22
- 2θ 49.4, intensity 20

---

2.
# ReS2ClO9
Calculated XRD peak list, Cu Ka. Input: a cell relaxed with PBE.
Lines closer than 0.1° are merged.

Structure:
```
ReS2ClO9
1.0
7.421 0.000 0.000
-2.999 7.479 0.000
-1.586 -0.654 8.244
Re S Cl O
2 4 2 18
direct
0.232 0.196 0.300
0.768 0.804 0.700
0.086 0.229 0.880
0.335 0.852 0.216
0.665 0.148 0.784
0.914 0.771 0.120
0.002 0.311 0.310
0.998 0.689 0.690
0.030 0.037 0.827
0.120 0.757 0.085
0.160 0.352 0.764
0.209 0.275 0.044
0.225 0.095 0.478
0.307 0.794 0.373
0.364 0.055 0.208
0.442 0.385 0.346
0.472 0.821 0.135
0.528 0.179 0.865
0.558 0.615 0.654
0.636 0.945 0.792
0.693 0.206 0.627
0.775 0.905 0.522
0.791 0.725 0.956
0.840 0.648 0.236
0.880 0.243 0.915
0.970 0.963 0.173
```

Main lines, by intensity (10 to 80 degrees two-theta):
- 2θ 15.2, intensity 100
- 2θ 23.8, intensity 73
- 2θ 14.0, intensity 62
- 2θ 18.6, intensity 56
- 2θ 21.6, intensity 37
- 2θ 11.9, intensity 36
- 2θ 20.8, intensity 31
- 2θ 24.6, intensity 28

---

3.
# RhCl5O2
Calculated XRD peak list, Cu Ka. Input: a cell relaxed with PBE.
Lines closer than 0.1° are merged.

Structure:
```
RhCl5O2
1.0
4.790 0.000 0.000
2.333 6.493 0.000
2.339 1.420 6.807
Rh Cl O
1 5 2
direct
0.000 0.000 0.000
0.145 0.641 0.062
0.161 0.007 0.670
0.461 0.999 0.077
0.834 0.993 0.339
0.854 0.360 0.935
0.370 0.506 0.502
0.632 0.493 0.498
```

Main lines, by intensity (10 to 80 degrees two-theta):
- 2θ 13.0, intensity 100
- 2θ 13.9, intensity 85
- 2θ 21.3, intensity 76
- 2θ 28.1, intensity 52
- 2θ 37.6, intensity 43
- 2θ 17.0, intensity 42
- 2θ 26.2, intensity 33
- 2θ 20.3, intensity 33

---

4.
# Sr4Ru6ClO18
Calculated XRD peak list, Cu Ka. Input: a cell relaxed with PBE.
Lines closer than 0.1° are merged.

Structure:
```
Sr4Ru6ClO18
1.0
-4.686 4.686 4.686
4.686 -4.686 4.686
4.686 4.686 -4.686
Sr Ru Cl O
4 6 1 18
direct
0.000 0.000 0.624
0.000 0.624 0.000
0.376 0.376 0.376
0.624 0.000 0.000
0.163 0.663 0.500
0.337 0.500 0.837
0.500 0.163 0.663
0.500 0.837 0.337
0.663 0.500 0.163
0.837 0.337 0.500
0.000 0.000 0.000
0.000 0.374 0.374
0.000 0.626 0.626
0.045 0.353 0.732
0.268 0.621 0.313
0.308 0.955 0.687
0.313 0.268 0.621
0.353 0.732 0.045
0.374 0.000 0.374
0.374 0.374 0.000
0.379 0.647 0.692
0.621 0.313 0.268
0.626 0.000 0.626
0.626 0.626 0.000
0.647 0.692 0.379
0.687 0.308 0.955
0.692 0.379 0.647
0.732 0.045 0.353
0.955 0.687 0.308
```

Main lines, by intensity (10 to 80 degrees two-theta):
- 2θ 30.2, intensity 100
- 2θ 35.9, intensity 86
- 2θ 13.4, intensity 66
- 2θ 23.2, intensity 60
- 2θ 40.9, intensity 46
- 2θ 49.6, intensity 44
- 2θ 59.1, intensity 40
- 2θ 60.9, intensity 37